Record 1
Starting from a crystal structure in Alexandria, relaxed with PBE, the X-ray diffraction stick pattern of Rb4In5Bi6 was simulated for Cu Kα, 1.54184 Å.

The 12 most intense peaks (2θ from 10° to 90°), sorted by position:
2θ = 19.8°, I 33; 2θ = 20.7°, I 66; 2θ = 24.1°, I 35; 2θ = 24.9°, I 33; 2θ = 25.6°, I 41; 2θ = 27.2°, I 45; 2θ = 29.1°, I 37; 2θ = 31.6°, I 35; 2θ = 33.2°, I 93; 2θ = 37.2°, I 100; 2θ = 38.2°, I 44; 2θ = 39.4°, I 31

Crystal structure
```
data_Rb4In5Bi6
_chemical_formula_sum 'Rb16 In20 Bi24'
_space_group_name_H-M_alt 'C m c 21'
_space_group_IT_number 36
_cell_length_a 5.4016
_cell_length_b 22.7528
_cell_length_c 19.5188
_cell_angle_alpha 90.00
_cell_angle_beta 90.00
_cell_angle_gamma 90.00
loop_
_space_group_symop_operation_xyz
'x,y,z'
'-x,-y,z+1/2'
'-x,y,z'
'x,-y,z+1/2'
'x+1/2,y+1/2,z'
'-x+1/2,-y+1/2,z+1/2'
'-x+1/2,y+1/2,z'
'x+1/2,-y+1/2,z+1/2'
loop_
_atom_site_label
_atom_site_fract_x
_atom_site_fract_y
_atom_site_fract_z
Rb1 0.0000 0.0049 0.0000
Rb2 0.0000 0.0197 0.2655
Rb3 0.0000 0.1777 0.8126
Rb4 0.0000 0.1793 0.4483
In1 0.0000 0.1335 0.1281
In2 0.0000 0.2947 0.1271
In3 0.0000 0.3592 0.7602
In4 0.0000 0.3615 0.4939
In5 0.0000 0.4245 0.1906
Bi1 0.0000 0.1284 0.6310
Bi2 0.0000 0.2103 0.0021
Bi3 0.0000 0.2118 0.2538
Bi4 0.0000 0.4310 0.8911
Bi5 0.0000 0.4382 0.3595
Bi6 0.0000 0.4381 0.6301
```

=====

Record 2
Starting from a crystal structure in Alexandria, relaxed with PBE, the X-ray diffraction stick pattern of ScBe2AsO6 was simulated for Cu Kα, 1.54184 Å.

The 12 most intense peaks (2θ from 10° to 90°), sorted by position:
2θ = 19.6°, I 69; 2θ = 19.9°, I 100; 2θ = 27.8°, I 20; 2θ = 29.2°, I 37; 2θ = 29.7°, I 56; 2θ = 36.1°, I 44; 2θ = 42.8°, I 16; 2θ = 43.0°, I 56; 2θ = 48.6°, I 14; 2θ = 55.8°, I 17; 2θ = 57.5°, I 18; 2θ = 61.4°, I 18

Crystal structure
```
data_ScBe2AsO6
_chemical_formula_sum 'Sc4 Be8 As4 O24'
_space_group_name_H-M_alt 'C 1 2/c 1'
_space_group_IT_number 15
_cell_length_a 9.7972
_cell_length_b 8.3806
_cell_length_c 5.4562
_cell_angle_alpha 90.00
_cell_angle_beta 114.12
_cell_angle_gamma 90.00
loop_
_space_group_symop_operation_xyz
'x,y,z'
'-x,-y,-z'
'-x,y,-z+1/2'
'x,-y,z+1/2'
'x+1/2,y+1/2,z'
'-x+1/2,-y+1/2,-z'
'-x+1/2,y+1/2,-z+1/2'
'x+1/2,-y+1/2,z+1/2'
loop_
_atom_site_label
_atom_site_fract_x
_atom_site_fract_y
_atom_site_fract_z
Sc1 0.0000 0.1017 0.2500
Be1 0.1985 0.4292 0.1414
As1 0.0000 0.2860 0.7500
O1 0.0940 0.2729 0.1093
O2 0.1190 0.1009 0.6906
O3 0.1490 0.4345 0.8052
```